Entry 1:
Theoretical powder XRD pattern
Compound: CrOs2Cl
Radiation: copper Kα
Structure: a DFT-relaxed cell (PBE, Alexandria)
Lines closer than 0.1° are merged.

Principal peaks in the range 15° ≤ 2θ ≤ 90°, sorted by position:
2theta  intensity  hkl
34.10  27  1 0 1
38.70  100  1 0 2
45.48  58  1 0 3
46.55  39  1 1 0
47.79  22  1 1 1
73.06  19  1 1 5
81.03  24  2 1 2
85.60  19  2 1 3

Atomic structure:
```
data_CrOs2Cl
_space_group_name_H-M_alt 'P 4 m m'
_space_group_IT_number 99
_cell_length_a 2.7592
_cell_length_b 2.7592
_cell_length_c 8.6585
_cell_angle_alpha 90.00
_cell_angle_beta 90.00
_cell_angle_gamma 90.00
loop_
_space_group_symop_operation_xyz
'x,y,z'
'-y,x,z'
'-x,-y,z'
'y,-x,z'
'-x,y,z'
'y,x,z'
'x,-y,z'
'-y,-x,z'
loop_
_atom_site_label
_atom_site_fract_x
_atom_site_fract_y
_atom_site_fract_z
Cr1 0.0000 0.0000 0.0000
Os1 0.0000 0.0000 0.4218
Os2 0.5000 0.5000 0.2201
Cl1 0.5000 0.5000 0.8324
```

Entry 2:
Theoretical powder XRD pattern
Compound: CrP2OsCl
Radiation: copper Kα
Structure: a DFT-relaxed cell (PBE, Alexandria)
Lines closer than 0.1° are merged.

Principal peaks in the range 15° ≤ 2θ ≤ 90°, sorted by position:
2theta  intensity  hkl
17.52  40  0 0 1
19.71  70  1 0 0
26.49  100  1 0 1
28.02  48  1 1 0
35.47  32  0 0 2
40.04  45  2 0 0
48.66  39  2 1 1
54.55  36  2 0 2

Atomic structure:
```
data_CrP2OsCl
_space_group_name_H-M_alt 'P 4/m m m'
_space_group_IT_number 123
_space_group_name_Hall '-P 4 2'
_cell_length_a 4.5036
_cell_length_b 4.5036
_cell_length_c 5.0620
_cell_angle_alpha 90.00
_cell_angle_beta 90.00
_cell_angle_gamma 90.00
loop_
_atom_site_label
_atom_site_fract_x
_atom_site_fract_y
_atom_site_fract_z
Cr1 0.0000 0.0000 0.0000
P1 0.0000 0.5000 0.5000
Os1 0.5000 0.5000 0.5000
Cl1 0.5000 0.5000 0.0000
```

Entry 3:
Theoretical powder XRD pattern
Compound: CrPCl2
Radiation: copper Kα
Structure: a DFT-relaxed cell (PBE, Alexandria)
Lines closer than 0.1° are merged.

Principal peaks in the range 15° ≤ 2θ ≤ 90°, sorted by position:
2theta  intensity  hkl
28.14  100  1 0 1
34.92  35  0 0 3
36.52  81  1 1 0
38.41  22  1 1 1
51.43  40  1 1 3
52.61  25  2 0 0
54.43  24  1 0 4
64.71  19  2 0 3

Atomic structure:
```
data_CrPCl2
_space_group_name_H-M_alt 'P 4 m m'
_space_group_IT_number 99
_cell_length_a 3.4791
_cell_length_b 3.4791
_cell_length_c 7.7076
_cell_angle_alpha 90.00
_cell_angle_beta 90.00
_cell_angle_gamma 90.00
loop_
_space_group_symop_operation_xyz
'x,y,z'
'-y,x,z'
'-x,-y,z'
'y,-x,z'
'-x,y,z'
'y,x,z'
'x,-y,z'
'-y,-x,z'
loop_
_atom_site_label
_atom_site_fract_x
_atom_site_fract_y
_atom_site_fract_z
Cr1 0.0000 0.0000 0.0000
P1 0.5000 0.5000 0.9521
Cl1 0.0000 0.0000 0.2809
Cl2 0.5000 0.5000 0.6808
```

Entry 4:
Theoretical powder XRD pattern
Compound: CrPWCl2
Radiation: copper Kα
Structure: a DFT-relaxed cell (PBE, Alexandria)
Lines closer than 0.1° are merged.

Principal peaks in the range 15° ≤ 2θ ≤ 90°, sorted by position:
2theta  intensity  hkl
18.52  75  0 0 1
26.31  100  1 0 1
37.55  55  2 0 0
42.18  37  2 0 1
46.44  44  2 1 1
54.16  37  2 2 0
61.23  13  3 0 1
74.02  14  2 1 3

Atomic structure:
```
data_CrPWCl2
_space_group_name_H-M_alt 'P 4/m m m'
_space_group_IT_number 123
_space_group_name_Hall '-P 4 2'
_cell_length_a 4.7864
_cell_length_b 4.7864
_cell_length_c 4.7976
_cell_angle_alpha 90.00
_cell_angle_beta 90.00
_cell_angle_gamma 90.00
loop_
_atom_site_label
_atom_site_fract_x
_atom_site_fract_y
_atom_site_fract_z
Cr1 0.0000 0.0000 0.0000
P1 0.5000 0.5000 0.0000
W1 0.5000 0.5000 0.5000
Cl1 0.0000 0.5000 0.5000
```